Record 1
NbNiGe: calculated powder diffraction line list (Cu Kα (λ = 1.5418 Å)), based on a structure optimized by DFT (PBE).
Kinematic intensities with the Lorentz-polarization factor, no thermal factor.

Atomic structure:
```
data_NbNiGe
_chemical_formula_sum 'Nb4 Ni4 Ge4'
_space_group_name_H-M_alt 'P n m a'
_space_group_IT_number 62
_cell_length_a 6.3384
_cell_length_b 3.7645
_cell_length_c 7.2631
_cell_angle_alpha 90.00
_cell_angle_beta 90.00
_cell_angle_gamma 90.00
loop_
_space_group_symop_operation_xyz
'x,y,z'
'-x,-y,-z'
'-x+1/2,-y,z+1/2'
'x+1/2,y,-z+1/2'
'x+1/2,-y+1/2,-z+1/2'
'-x+1/2,y+1/2,z+1/2'
'-x,y+1/2,-z'
'x,-y+1/2,z'
loop_
_atom_site_label
_atom_site_fract_x
_atom_site_fract_y
_atom_site_fract_z
Nb1 0.0220 0.2500 0.1711
Ni1 0.1547 0.2500 0.5630
Ge1 0.2200 0.7500 0.3760
```

Largest 10 diffraction maxima, sorted by position, 10 to 90 degrees two-theta:
two_theta, I_rel, h k l
37.2, 85.0, 1 1 2
39.2, 100.0, 2 1 1
39.9, 23.6, 1 0 3
44.5, 26.8, 0 1 3
44.7, 29.1, 3 0 1
46.9, 21.9, 1 1 3
48.4, 38.6, 0 2 0
49.9, 14.2, 3 0 2
67.9, 15.7, 3 2 1
73.2, 15.7, 3 1 4

---

Record 2
Nb2Ge2O7: calculated powder diffraction line list (Cu Kα (λ = 1.5418 Å)), based on a structure optimized by DFT (PBE).
Kinematic intensities with the Lorentz-polarization factor, no thermal factor.

Atomic structure:
```
data_Nb2Ge2O7
_chemical_formula_sum 'Nb8 Ge8 O28'
_space_group_name_H-M_alt 'P 1 21 1'
_space_group_IT_number 4
_cell_length_a 8.0127
_cell_length_b 5.7631
_cell_length_c 13.7009
_cell_angle_alpha 90.00
_cell_angle_beta 95.83
_cell_angle_gamma 90.00
loop_
_space_group_symop_operation_xyz
'x,y,z'
'-x,y+1/2,-z'
loop_
_atom_site_label
_atom_site_fract_x
_atom_site_fract_y
_atom_site_fract_z
Nb1 0.0239 0.0000 0.1105
Nb2 0.0863 0.4712 0.3142
Nb3 0.4255 0.9794 0.6776
Nb4 0.4672 0.4975 0.8826
Ge1 0.0770 0.4488 0.5717
Ge2 0.1942 0.0492 0.8594
Ge3 0.3135 0.5834 0.1018
Ge4 0.3558 0.9465 0.4368
O1 0.0064 0.7262 0.9849
O2 0.0211 0.1796 0.2253
O3 0.0389 0.6581 0.1867
O4 0.0431 0.2950 0.4374
O5 0.1191 0.7608 0.3923
O6 0.1962 0.0426 0.7097
O7 0.2265 0.3959 0.8891
O8 0.2718 0.9364 0.1087
O9 0.3115 0.4205 0.3050
O10 0.3632 0.7996 0.5648
O11 0.4419 0.6943 0.7773
O12 0.4624 0.6980 0.9930
O13 0.4815 0.2397 0.6043
O14 0.4847 0.1758 0.8152
```

Largest 10 diffraction maxima, sorted by position, 10 to 90 degrees two-theta:
two_theta, I_rel, h k l
22.3, 40.5, 2 0 0
25.0, 86.6, 0 1 3
26.2, 48.6, 0 0 4
28.5, 100.0, 2 1 1
29.2, 44.7, 2 1 -2
30.5, 42.7, 0 1 4
31.0, 61.6, 0 2 0
31.3, 57.3, 2 1 2
32.3, 72.9, 2 1 -3
45.3, 42.5, 4 0 -1

---

Record 3
Nb2Ge2O7: calculated powder diffraction line list (Cu Kα (λ = 1.5418 Å)), based on a structure optimized by DFT (PBE).
Kinematic intensities with the Lorentz-polarization factor, no thermal factor.

Atomic structure:
```
data_Nb2Ge2O7
_chemical_formula_sum 'Nb8 Ge8 O28'
_space_group_name_H-M_alt 'C m c 21'
_space_group_IT_number 36
_cell_length_a 3.9400
_cell_length_b 26.7538
_cell_length_c 5.8704
_cell_angle_alpha 90.00
_cell_angle_beta 90.00
_cell_angle_gamma 90.00
loop_
_space_group_symop_operation_xyz
'x,y,z'
'-x,-y,z+1/2'
'-x,y,z'
'x,-y,z+1/2'
'x+1/2,y+1/2,z'
'-x+1/2,-y+1/2,z+1/2'
'-x+1/2,y+1/2,z'
'x+1/2,-y+1/2,z+1/2'
loop_
_atom_site_label
_atom_site_fract_x
_atom_site_fract_y
_atom_site_fract_z
Nb1 0.0000 0.0573 0.0000
Nb2 0.0000 0.1611 0.5190
Ge1 0.0000 0.2863 0.5654
Ge2 0.0000 0.4364 0.9355
O1 0.0000 0.0080 0.7813
O2 0.0000 0.0922 0.3439
O3 0.0000 0.1143 0.8225
O4 0.0000 0.1984 0.2422
O5 0.0000 0.2228 0.7008
O6 0.0000 0.3520 0.0151
O7 0.0000 0.4432 0.5947
```

Largest 10 diffraction maxima, sorted by position, 10 to 90 degrees two-theta:
two_theta, I_rel, h k l
16.5, 20.3, 0 2 1
25.1, 49.2, 0 6 1
26.7, 36.0, 0 8 0
27.5, 32.9, 1 1 1
29.1, 100.0, 1 3 1
30.5, 39.9, 0 0 2
30.8, 23.5, 0 8 1
32.1, 73.9, 1 5 1
46.1, 39.5, 2 0 0
49.4, 36.7, 1 9 2

---

Record 4
NbGeP3O12: calculated powder diffraction line list (Cu Kα (λ = 1.5418 Å)), based on a structure optimized by DFT (PBE).
Kinematic intensities with the Lorentz-polarization factor, no thermal factor.

Atomic structure:
```
data_NbGeP3O12
_chemical_formula_sum 'Nb6 Ge6 P18 O72'
_space_group_name_H-M_alt 'R 3 c'
_space_group_IT_number 161
_space_group_name_Hall 'R 3 -2"c'
_cell_length_a 8.5878
_cell_length_b 8.5878
_cell_length_c 21.9908
_cell_angle_alpha 90.00
_cell_angle_beta 90.00
_cell_angle_gamma 120.00
loop_
_atom_site_label
_atom_site_fract_x
_atom_site_fract_y
_atom_site_fract_z
Nb1 0.0000 0.0000 0.0000
Ge1 0.0000 0.0000 0.2176
P1 0.0633 0.3758 0.2798
O1 0.0210 0.1923 0.5568
O2 0.0403 0.1893 0.2705
O3 0.1489 0.4599 0.6217
O4 0.1779 0.4586 0.3371
```

Largest 10 diffraction maxima, sorted by position, 10 to 90 degrees two-theta:
two_theta, I_rel, h k l
14.4, 50.0, 0 1 2
20.1, 100.0, 1 0 4
20.7, 64.9, 1 1 0
24.0, 74.8, 1 1 3
29.0, 71.4, 0 2 4
32.1, 51.9, 1 1 6
35.9, 23.6, 2 1 4
36.2, 22.2, 3 0 0
52.9, 19.0, 2 1 10
56.7, 19.3, 4 1 0

---

Record 5
Nb3GeS6: calculated powder diffraction line list (Cu Kα (λ = 1.5418 Å)), based on a structure optimized by DFT (PBE).
Kinematic intensities with the Lorentz-polarization factor, no thermal factor.

Atomic structure:
```
data_Nb3GeS6
_chemical_formula_sum 'Nb6 Ge2 S12'
_space_group_name_H-M_alt 'P 63/m c m'
_space_group_IT_number 193
_space_group_name_Hall '-P 6c 2'
_cell_length_a 5.8240
_cell_length_b 5.8240
_cell_length_c 13.6596
_cell_angle_alpha 90.00
_cell_angle_beta 90.00
_cell_angle_gamma 120.00
loop_
_atom_site_label
_atom_site_fract_x
_atom_site_fract_y
_atom_site_fract_z
Nb1 0.0000 0.0000 0.2500
Nb2 0.3333 0.6667 0.2500
Ge1 0.0000 0.0000 0.0000
S1 0.0000 0.3343 0.1351
```

Largest 10 diffraction maxima, sorted by position, 10 to 90 degrees two-theta:
two_theta, I_rel, h k l
13.0, 81.6, 0 0 2
21.9, 14.1, 1 0 2
30.7, 36.1, 1 1 0
31.4, 17.0, 1 1 1
33.5, 33.1, 1 1 2
40.7, 100.0, 1 1 4
50.9, 15.0, 1 1 6
54.6, 30.1, 3 0 0
70.3, 18.8, 2 2 4
80.1, 17.6, 3 0 8